1.
Calculated XRD peak list of La2NdP2N6 for copper Kα, from a cell relaxed with PBE.
Kinematic intensities with the Lorentz-polarization factor, no thermal factor.

Cell and atoms:
Cell: 9.8856 5.6044 6.8427 Å, 90.00 119.68 90.00°
Space group C2/m (No. 12)
One atom of each set of equivalent atoms:
1 La 0.2036 0.0000 0.1790 x4
2 Nd 0.0000 0.0000 0.5000 x2
3 P 0.0413 0.5000 0.2585 x4
4 N 0.0552 0.2567 0.8290 x8
5 N 0.2253 0.5000 0.3699 x4

Main lines, most intense first (10° ≤ 2θ ≤ 80°):
hkl 3 1 -1, 2.840 Å, I 100
hkl 1 1 -2, 2.889 Å, I 89
hkl 1 1 1, 3.278 Å, I 76
hkl 0 2 0, 2.802 Å, I 55
hkl 2 2 -2, 2.146 Å, I 51
hkl 1 1 0, 4.694 Å, I 45
hkl 2 2 1, 2.005 Å, I 41
hkl 2 0 1, 2.871 Å, I 35
hkl 2 0 -2, 3.337 Å, I 34
hkl 1 3 -2, 1.635 Å, I 25

2.
Calculated XRD peak list of LaNdPN for copper Kα, from a cell relaxed with PBE.
Kinematic intensities with the Lorentz-polarization factor, no thermal factor.

Cell and atoms:
Cell: 4.0891 4.0891 13.5194 Å, 90.00 90.00 120.00°
Space group P6_3mc (No. 186)
One atom of each set of equivalent atoms:
1 La 0.0000 0.0000 0.0000 x2
2 Nd 0.3333 0.6667 0.2609 x2
3 P 0.3333 0.6667 0.6162 x2
4 N 0.0000 0.0000 0.3319 x2

Main lines, most intense first (10° ≤ 2θ ≤ 80°):
hkl 1 0 2, 3.137 Å, I 100
hkl 1 0 3, 2.784 Å, I 41
hkl 1 1 0, 2.045 Å, I 39
hkl 1 0 1, 3.426 Å, I 38
hkl 0 0 4, 3.380 Å, I 30
hkl 1 0 6, 1.901 Å, I 30
hkl 1 1 4, 1.749 Å, I 28
hkl 2 0 2, 1.713 Å, I 17
hkl 1 0 5, 2.149 Å, I 15
hkl 2 1 2, 1.313 Å, I 14

Q: What is the formula in the first record?
A: La2NdP2N6